(1)
This entry pairs a crystal structure of Zr8AgPd3 with its theoretical powder XRD pattern. Radiation: Cu Kα (weighted mean of Kα1 and Kα2). Structure: DFT lattice parameters and positions (PBE).

The 10 most intense peaks (15 to 90 degrees two-theta), by angle:
2θ 15.8, rel. 3
2θ 36.2, rel. 100
2θ 38.3, rel. 44
2θ 48.7, rel. 9
2θ 55.3, rel. 15
2θ 63.6, rel. 16
2θ 67.9, rel. 30
2θ 76.8, rel. 9
2θ 82.1, rel. 5
2θ 82.7, rel. 6

Structure:
Lattice parameters (Å, degrees): 3.3204 3.3204 22.4273 90.00 90.00 90.00
Positions (direct):
Zr 0.0000 0.0000 0.0768
Zr 0.0000 0.0000 0.4139
Zr 0.0000 0.0000 0.5861
Zr 0.0000 0.0000 0.9232
Zr 0.5000 0.5000 0.1682
Zr 0.5000 0.5000 0.3223
Zr 0.5000 0.5000 0.6777
Zr 0.5000 0.5000 0.8318
Ag 0.5000 0.5000 0.5000
Pd 0.0000 0.0000 0.2454
Pd 0.0000 0.0000 0.7546
Pd 0.5000 0.5000 0.0000

=====

(2)
This entry pairs a crystal structure of ZrAgPd14 with its theoretical powder XRD pattern. Radiation: Cu Kα (weighted mean of Kα1 and Kα2). Structure: DFT lattice parameters and positions (PBE).

The 8 most intense peaks (15 to 90 degrees two-theta), by angle:
2θ 39.1, rel. 100
2θ 45.3, rel. 33
2θ 45.9, rel. 16
2θ 66.0, rel. 10
2θ 66.5, rel. 20
2θ 79.5, rel. 24
2θ 80.3, rel. 12
2θ 84.1, rel. 11

Structure:
Lattice parameters (Å, degrees): 5.6585 5.6585 7.9151 90.00 90.00 90.00
Positions (direct):
Zr 0.0000 0.0000 0.0000
Ag 0.5000 0.5000 0.0000
Pd 0.0000 0.0000 0.5000
Pd 0.0000 0.5000 0.0000
Pd 0.0000 0.5000 0.5000
Pd 0.2480 0.2480 0.2510
Pd 0.2480 0.2480 0.7490
Pd 0.2480 0.7520 0.2510
Pd 0.2480 0.7520 0.7490
Pd 0.5000 0.0000 0.0000
Pd 0.5000 0.0000 0.5000
Pd 0.5000 0.5000 0.5000
Pd 0.7520 0.2480 0.2510
Pd 0.7520 0.2480 0.7490
Pd 0.7520 0.7520 0.2510
Pd 0.7520 0.7520 0.7490

=====

(3)
This entry pairs a crystal structure of Pm4Ag with its theoretical powder XRD pattern. Radiation: Cu Kα (weighted mean of Kα1 and Kα2). Structure: DFT lattice parameters and positions (PBE).

The 10 most intense peaks (15 to 90 degrees two-theta), by angle:
2θ 23.2, rel. 9
2θ 31.0, rel. 100
2θ 33.0, rel. 52
2θ 33.2, rel. 33
2θ 39.0, rel. 10
2θ 42.8, rel. 7
2θ 49.0, rel. 9
2θ 52.1, rel. 11
2θ 57.8, rel. 8
2θ 65.8, rel. 7

Structure:
Lattice parameters (Å, degrees): 8.3390 7.0147 9.8736 56.15 44.32 79.53
Positions (direct):
Pm 0.1987 0.8501 0.0146
Pm 0.2354 0.3134 0.0513
Pm 0.2371 0.7629 0.3723
Pm 0.3134 0.2354 0.3999
Pm 0.6223 0.8777 0.4871
Pm 0.7629 0.2371 0.6277
Pm 0.8501 0.1987 0.9366
Pm 0.8777 0.6223 0.0129
Ag 0.4383 0.4383 0.5617
Ag 0.6883 0.6883 0.8117

=====

(4)
This entry pairs a crystal structure of Pm2Ag3 with its theoretical powder XRD pattern. Radiation: Cu Kα (weighted mean of Kα1 and Kα2). Structure: DFT lattice parameters and positions (PBE).

The 10 most intense peaks (15 to 90 degrees two-theta), by angle:
2θ 32.4, rel. 100
2θ 33.2, rel. 54
2θ 34.8, rel. 14
2θ 36.6, rel. 69
2θ 37.2, rel. 43
2θ 42.4, rel. 15
2θ 50.7, rel. 50
2θ 64.2, rel. 39
2θ 64.6, rel. 16
2θ 88.4, rel. 14

Structure:
Lattice parameters (Å, degrees): 14.3655 14.3655 4.8288 90.00 90.00 165.61
Positions (direct):
Pm 0.0733 0.9267 0.7500
Pm 0.2088 0.7912 0.2500
Pm 0.7912 0.2088 0.7500
Pm 0.9267 0.0733 0.2500
Ag 0.3263 0.6737 0.2500
Ag 0.3808 0.6192 0.7500
Ag 0.4770 0.5230 0.7500
Ag 0.5230 0.4770 0.2500
Ag 0.6192 0.3808 0.2500
Ag 0.6737 0.3263 0.7500

=====

(5)
This entry pairs a crystal structure of Pm3Ag5 with its theoretical powder XRD pattern. Radiation: Cu Kα (weighted mean of Kα1 and Kα2). Structure: DFT lattice parameters and positions (PBE).

The 10 most intense peaks (15 to 90 degrees two-theta), by angle:
2θ 28.0, rel. 79
2θ 31.6, rel. 75
2θ 32.5, rel. 100
2θ 33.2, rel. 29
2θ 34.9, rel. 33
2θ 35.4, rel. 44
2θ 37.8, rel. 93
2θ 42.2, rel. 54
2θ 48.5, rel. 21
2θ 49.4, rel. 29

Structure:
Lattice parameters (Å, degrees): 11.4513 7.7909 9.4555 82.60 42.43 54.97
Positions (direct):
Pm 0.0000 0.0000 0.0000
Pm 0.2500 0.2500 0.2500
Pm 0.2631 0.7236 0.3987
Pm 0.6354 0.8513 0.5264
Pm 0.7236 0.2631 0.6146
Pm 0.8513 0.6354 0.9869
Ag 0.0449 0.2852 0.1241
Ag 0.1259 0.7042 0.2051
Ag 0.2633 0.4497 0.8538
Ag 0.2852 0.0449 0.5458
Ag 0.3962 0.8168 0.9867
Ag 0.4497 0.2633 0.4332
Ag 0.5526 0.5526 0.4474
Ag 0.7042 0.1259 0.9648
Ag 0.8026 0.8026 0.6974
Ag 0.8168 0.3962 0.8003

=====

(6)
This entry pairs a crystal structure of PmAg4 with its theoretical powder XRD pattern. Radiation: Cu Kα (weighted mean of Kα1 and Kα2). Structure: DFT lattice parameters and positions (PBE).

The 10 most intense peaks (15 to 90 degrees two-theta), by angle:
2θ 26.8, rel. 45
2θ 35.1, rel. 99
2θ 35.2, rel. 100
2θ 35.4, rel. 95
2θ 35.6, rel. 96
2θ 36.9, rel. 97
2θ 38.2, rel. 24
2θ 43.0, rel. 47
2θ 55.2, rel. 33
2θ 58.9, rel. 34

Structure:
Lattice parameters (Å, degrees): 4.8764 5.2628 5.3037 78.09 62.64 63.34
Positions (direct):
Pm 0.0000 0.0000 0.0000
Ag 0.2030 0.2981 0.2996
Ag 0.4992 0.7002 0.2979
Ag 0.5008 0.2998 0.7021
Ag 0.7970 0.7019 0.7004